This entry pairs a crystal structure of Y3ErTi4Si2O18 with its calculated X-ray diffraction stick pattern. Radiation: a wavelength of 1.5418 Å. Structure: a GGA-PBE-relaxed structure.

Structure:
abc: 4.913 11.251 12.393
angles: 90.00 95.66 90.00
Sites, in units of the cell vectors:
Y  0.197  0.000  0.068
Y  0.233  0.279  0.578
Y  0.267  0.003  0.423
Y  0.733  0.503  0.577
Y  0.767  0.779  0.422
Y  0.803  0.500  0.932
Er  0.307  0.283  0.931
Er  0.693  0.783  0.069
Ti  0.050  0.804  0.851
Ti  0.082  0.477  0.360
Ti  0.418  0.805  0.640
Ti  0.450  0.478  0.150
Ti  0.550  0.978  0.850
Ti  0.582  0.305  0.360
Ti  0.918  0.977  0.640
Ti  0.950  0.304  0.149
Si  0.183  0.736  0.247
Si  0.318  0.546  0.753
Si  0.682  0.046  0.247
Si  0.817  0.236  0.753
O  0.058  0.093  0.564
O  0.083  0.194  0.065
O  0.086  0.853  0.554
O  0.120  0.429  0.064
O  0.152  0.243  0.756
O  0.182  0.478  0.643
O  0.230  0.691  0.747
O  0.233  0.933  0.745
O  0.250  0.481  0.866
O  0.258  0.800  0.134
O  0.266  0.349  0.255
O  0.269  0.591  0.253
O  0.317  0.804  0.357
O  0.347  0.041  0.246
O  0.382  0.853  0.936
O  0.413  0.429  0.446
O  0.419  0.091  0.932
O  0.443  0.189  0.437
O  0.557  0.689  0.563
O  0.581  0.591  0.068
O  0.587  0.929  0.554
O  0.618  0.353  0.064
O  0.653  0.541  0.754
O  0.683  0.304  0.643
O  0.731  0.091  0.747
O  0.734  0.849  0.745
O  0.742  0.300  0.866
O  0.750  0.981  0.134
O  0.767  0.433  0.255
O  0.770  0.191  0.253
O  0.818  0.978  0.357
O  0.848  0.743  0.244
O  0.880  0.929  0.936
O  0.914  0.353  0.446
O  0.917  0.694  0.935
O  0.942  0.593  0.436

Most intense lines, 10 to 80 degrees two-theta, by angle:
d [Å]	2θ (°)	intensity
5.626	15.75	27
3.480	25.60	76
2.854	31.35	100
2.813	31.81	38
2.619	34.23	28
2.389	37.66	27
1.984	45.73	31
1.656	55.50	33

This entry pairs a crystal structure of Tm4Sc5Cd with its calculated X-ray diffraction stick pattern. Radiation: a wavelength of 1.5418 Å. Structure: a GGA-PBE-relaxed structure.

Structure:
abc: 7.616 7.616 7.616
angles: 97.26 97.26 138.36
Sites, in units of the cell vectors:
Tm  0.000  0.318  0.318
Tm  0.000  0.682  0.682
Tm  0.318  0.000  0.318
Tm  0.682  0.000  0.682
Sc  0.217  0.217  0.000
Sc  0.317  0.317  0.631
Sc  0.317  0.686  0.000
Sc  0.686  0.317  0.000
Sc  0.686  0.686  0.369
Cd  0.733  0.733  0.000

Most intense lines, 10 to 80 degrees two-theta, by angle:
d [Å]	2θ (°)	intensity
3.462	25.74	49
2.852	31.36	100
2.530	35.48	17
2.373	37.92	40
2.155	41.93	17
1.677	54.74	18
1.589	58.03	18
1.446	64.43	20

This entry pairs a crystal structure of Li2La2DyGe2 with its calculated X-ray diffraction stick pattern. Radiation: a wavelength of 1.5418 Å. Structure: a GGA-PBE-relaxed structure.

Structure:
abc: 10.031 10.031 10.031
angles: 25.80 25.80 25.80
Sites, in units of the cell vectors:
Li  0.113  0.113  0.113
Li  0.887  0.887  0.887
La  0.376  0.376  0.376
La  0.624  0.624  0.624
Dy  0.500  0.500  0.500
Ge  0.227  0.227  0.227
Ge  0.773  0.773  0.773

Most intense lines, 10 to 80 degrees two-theta, by angle:
d [Å]	2θ (°)	intensity
3.845	23.13	100
2.835	31.56	95
2.652	33.80	90
2.239	40.27	79
1.937	46.92	30
1.757	52.04	23
1.711	53.56	24
1.465	63.49	38

This entry pairs a crystal structure of Pm2MgGa6Cu with its calculated X-ray diffraction stick pattern. Radiation: a wavelength of 1.5418 Å. Structure: a GGA-PBE-relaxed structure.

Structure:
abc: 12.351 12.351 12.351
angles: 29.85 29.85 29.85
Sites, in units of the cell vectors:
Pm  0.106  0.106  0.106
Pm  0.280  0.280  0.280
Pm  0.720  0.720  0.720
Pm  0.894  0.894  0.894
Mg  0.426  0.426  0.426
Mg  0.574  0.574  0.574
Ga  0.069  0.671  0.671
Ga  0.221  0.221  0.653
Ga  0.221  0.653  0.221
Ga  0.329  0.329  0.931
Ga  0.329  0.931  0.329
Ga  0.347  0.779  0.779
Ga  0.653  0.221  0.221
Ga  0.671  0.069  0.671
Ga  0.671  0.671  0.069
Ga  0.779  0.347  0.779
Ga  0.779  0.779  0.347
Ga  0.931  0.329  0.329
Cu  0.000  0.000  0.000
Cu  0.500  0.500  0.500

Most intense lines, 10 to 80 degrees two-theta, by angle:
d [Å]	2θ (°)	intensity
3.181	28.05	55
2.977	30.02	41
2.777	32.23	54
2.567	34.96	100
2.440	36.84	40
2.419	37.17	78
1.672	54.92	36
1.590	57.99	39